Diffraction record for Sb2AuXe2F12. The powder XRD pattern is calculated, not measured: it uses a DFT-relaxed cell (PBE, the Materials Project) and copper Kα.
Intensities are scaled so that the largest is 100.

The 12 most intense peaks (2θ = 10–90°), in order of rising 2θ:
hkl	2theta	I/Imax
0 0 1	10.75	25
0 1 0	12.02	22
0 1 -1	15.98	31
1 1 0	21.20	24
-1 1 1	21.36	100
1 -1 1	21.47	19
1 1 1	24.11	82
2 0 0	31.85	28
0 2 -2	32.29	29
0 2 2	32.99	28
1 -3 1	39.37	31
-3 1 1	49.54	20

Structural model:
```
data_Sb2AuXe2F12
_symmetry_space_group_name_H-M 'P -1'
_symmetry_Int_Tables_number 2
_symmetry_space_group_name_Hall '-P 1'
_cell_length_a 5.677
_cell_length_b 7.438
_cell_length_c 8.235
_cell_angle_alpha 91.03
_cell_angle_beta 91.14
_cell_angle_gamma 98.07
loop_
_atom_site_label
_atom_site_fract_x
_atom_site_fract_y
_atom_site_fract_z
Sb1 0.020 0.276 0.258
Au1 0.500 0.000 0.000
Xe1 0.478 0.225 0.737
F1 0.058 0.498 0.817
F2 0.087 0.040 0.311
F3 0.153 0.843 0.944
F4 0.195 0.388 0.442
F5 0.276 0.770 0.635
F6 0.296 0.303 0.125
```